Ba8Ce7YHO24: calculated powder diffraction line list (Cu Kα (λ = 1.5418 Å)), based on a GGA-PBE-relaxed structure.

Structure:
```
Ba8Ce7YHO24
1.0
6.3279 0.0000 0.0000
-0.0785 6.3342 0.0000
-0.0387 -0.0152 17.5743
Ba Ce Y H O
8 7 1 1 24
direct
0.0000 0.0000 0.0000 Ba
0.0019 0.9911 0.4996 Ba
0.0331 0.0170 0.2480 Ba
0.0524 0.9969 0.7377 Ba
0.4812 0.5183 0.7384 Ba
0.4884 0.5231 0.4997 Ba
0.5104 0.5199 0.9979 Ba
0.5314 0.4989 0.2481 Ba
0.0117 0.5050 0.3738 Ce
0.0130 0.5093 0.1220 Ce
0.0180 0.5177 0.8708 Ce
0.5074 0.0061 0.8726 Ce
0.5163 0.0093 0.1222 Ce
0.5162 0.0095 0.3726 Ce
0.5184 0.0127 0.6219 Ce
0.0057 0.5017 0.6220 Y
0.7642 0.2513 0.7660 H
0.0016 0.5861 0.2457 O
0.0180 0.4257 0.4958 O
0.0500 0.5810 0.7506 O
0.2472 0.7750 0.3962 O
0.2513 0.7744 0.9020 O
0.2539 0.7693 0.0962 O
0.2570 0.7678 0.6024 O
0.2712 0.2594 0.6379 O
0.2776 0.2711 0.1366 O
0.2784 0.2754 0.8600 O
0.2813 0.2728 0.3494 O
0.4766 0.9372 0.7510 O
0.4929 0.9302 0.2456 O
0.5482 0.0936 0.4965 O
0.5560 0.0913 0.9948 O
0.7448 0.7410 0.3931 O
0.7508 0.7521 0.6063 O
0.7523 0.7524 0.8901 O
0.7532 0.7498 0.1009 O
0.7655 0.2516 0.6634 O
0.7712 0.2521 0.8240 O
0.7780 0.2462 0.1467 O
0.7804 0.2406 0.3448 O
0.9832 0.4322 0.9944 O
```

Peak list (10 most intense, 10 to 90 degrees two-theta, sorted by position)
2theta, Rel. int.
28.19, 93
28.38, 93
28.55, 100
40.03, 28
40.55, 27
41.09, 24
49.90, 41
50.21, 31
50.55, 32
58.30, 16